(1)
Starting from a structure optimized by DFT (GGA-PBE), the PXRD pattern of Ca4Sn3S10 was calculated for Cu Ka.
No peak broadening, texture or thermal motion is included.

Principal peaks in the range 2θ = 10–90°, in order of rising 2θ:
2theta  I_rel  hkl
13.20  79  0 2 1
15.28  99  1 1 1
26.16  50  2 0 0
27.53  100  1 3 3
33.80  50  2 0 4
35.06  64  1 5 2
39.54  37  2 2 5
41.62  43  2 0 6

Structure:
```
data_Ca4Sn3S10
_chemical_formula_sum 'Ca16 Sn12 S40'
_space_group_name_H-M_alt 'C m c e'
_space_group_IT_number 64
_space_group_name_Hall '-C 2ac 2'
_cell_length_a 6.814
_cell_length_b 14.610
_cell_length_c 16.890
_cell_angle_alpha 90.00
_cell_angle_beta 90.00
_cell_angle_gamma 90.00
loop_
_atom_site_label
_atom_site_type_symbol
_atom_site_fract_x
_atom_site_fract_y
_atom_site_fract_z
Ca1 Ca 0.000 0.004 0.142
Ca2 Ca 0.000 0.233 0.639
Sn1 Sn 0.000 0.000 0.500
Sn2 Sn 0.000 0.160 0.353
S1 S 0.000 0.049 0.636
S2 S 0.000 0.183 0.810
S3 S 0.239 0.131 0.044
S4 S 0.250 0.100 0.250
```



(2)
Starting from a structure optimized by DFT (GGA-PBE), the PXRD pattern of CaSnS3 was calculated for Cu Ka.
No peak broadening, texture or thermal motion is included.

Principal peaks in the range 2θ = 10–90°, in order of rising 2θ:
2theta  I_rel  hkl
15.24  100  1 0 0
26.56  36  1 1 0
32.12  45  1 0 2
33.92  34  2 0 1
39.05  20  1 1 2
41.09  21  2 1 0
42.15  46  2 0 2
50.52  22  2 1 2

Structure:
```
data_CaSnS3
_chemical_formula_sum 'Ca2 Sn2 S6'
_space_group_name_H-M_alt 'P 63/m m c'
_space_group_IT_number 194
_space_group_name_Hall '-P 6c 2c'
_cell_length_a 6.7113
_cell_length_b 6.7113
_cell_length_c 6.3513
_cell_angle_alpha 90.00
_cell_angle_beta 90.00
_cell_angle_gamma 120.00
loop_
_atom_site_label
_atom_site_type_symbol
_atom_site_fract_x
_atom_site_fract_y
_atom_site_fract_z
Ca1 Ca 0.3333 0.6667 0.2500
Sn1 Sn 0.0000 0.0000 0.0000
S1 S 0.1721 0.3443 0.7500
```